# 1
Theoretical powder XRD pattern of Cs5Cr2O6 for CuKα, from a GGA+U-relaxed structure.
No peak broadening, texture or thermal motion is included.

Crystal structure
```
Cs5Cr2O6
1.0
5.7307 -3.7041 0.0000
5.7307 3.7041 0.0000
-2.7169 0.0000 15.3685
Cs Cr O
10 4 12
Direct
0.0894 0.9106 0.7500
0.1707 0.6941 0.0054
0.2943 0.3985 0.2908
0.3059 0.8293 0.4946
0.3985 0.2943 0.7908
0.6015 0.7057 0.2092
0.6941 0.1707 0.5054
0.7057 0.6015 0.7092
0.8293 0.3059 0.9946
0.9106 0.0894 0.2500
0.1269 0.4213 0.5742
0.4213 0.1269 0.0742
0.5787 0.8731 0.9258
0.8731 0.5787 0.4258
0.0949 0.2346 0.6355
0.1397 0.3357 0.4526
0.2346 0.0949 0.1355
0.3357 0.1397 0.9526
0.3358 0.5042 0.6259
0.4958 0.6642 0.8741
0.5042 0.3358 0.1259
0.6642 0.4958 0.3741
0.6643 0.8603 0.0474
0.7654 0.9051 0.8645
0.8603 0.6643 0.5474
0.9051 0.7654 0.3645
```

The 10 most intense peaks (2θ = 15–90°), in order of rising 2θ:
| d [Å] | I (rel.) |
| --- | --- |
| 3.842 | 53 |
| 3.414 | 30 |
| 3.354 | 47 |
| 3.337 | 100 |
| 3.266 | 40 |
| 3.176 | 72 |
| 3.030 | 67 |
| 3.002 | 36 |
| 2.946 | 42 |
| 2.072 | 33 |

# 2
Theoretical powder XRD pattern of Cs2CrO2 for CuKα, from a GGA+U-relaxed structure.
No peak broadening, texture or thermal motion is included.

Crystal structure
```
Cs2CrO2
1.0
6.5536 0.0000 0.0000
0.0000 6.5536 0.0000
0.0000 0.0000 5.0257
Cs Cr O
4 2 4
Direct
0.1707 0.3293 0.0000
0.3293 0.8293 0.0000
0.6707 0.1707 0.0000
0.8293 0.6707 0.0000
0.0000 0.0000 0.5000
0.5000 0.5000 0.5000
0.2050 0.7050 0.5000
0.2950 0.2050 0.5000
0.7050 0.7950 0.5000
0.7950 0.2950 0.5000
```

The 10 most intense peaks (2θ = 15–90°), in order of rising 2θ:
| d [Å] | I (rel.) |
| --- | --- |
| 5.026 | 46 |
| 3.407 | 32 |
| 2.931 | 52 |
| 2.745 | 40 |
| 2.532 | 100 |
| 2.513 | 34 |
| 2.072 | 21 |
| 1.908 | 30 |
| 1.515 | 25 |
| 1.477 | 18 |

# 3
Theoretical powder XRD pattern of CsCr3O8 for CuKα, from a GGA+U-relaxed structure.
No peak broadening, texture or thermal motion is included.

Crystal structure
```
CsCr3O8
1.0
16.7581 0.0000 0.0000
0.0000 5.5729 0.0000
0.0000 0.0000 8.6338
Cs Cr O
4 12 32
Direct
0.2279 0.2500 0.0113
0.2721 0.7500 0.5113
0.7279 0.2500 0.4887
0.7721 0.7500 0.9887
0.0408 0.7500 0.7418
0.0819 0.7500 0.1288
0.1065 0.2500 0.5484
0.3935 0.7500 0.0484
0.4181 0.2500 0.6288
0.4592 0.2500 0.2418
0.5408 0.7500 0.7582
0.5819 0.7500 0.3712
0.6065 0.2500 0.9516
0.8935 0.7500 0.4516
0.9181 0.2500 0.8712
0.9592 0.2500 0.2582
0.0189 0.2500 0.4581
0.0309 0.5025 0.1739
0.0309 0.9975 0.1739
0.1040 0.7500 0.9372
0.1154 0.0006 0.6598
0.1154 0.4994 0.6598
0.1671 0.7500 0.2187
0.1798 0.2500 0.4257
0.3202 0.7500 0.9257
0.3329 0.2500 0.7187
0.3846 0.5006 0.1598
0.3846 0.9994 0.1598
0.3960 0.2500 0.4372
0.4691 0.0025 0.6739
0.4691 0.4975 0.6739
0.4811 0.7500 0.9581
0.5189 0.2500 0.0419
0.5309 0.5025 0.3261
0.5309 0.9975 0.3261
0.6040 0.7500 0.5628
0.6154 0.0006 0.8402
0.6154 0.4994 0.8402
0.6671 0.7500 0.2813
0.6798 0.2500 0.0743
0.8202 0.7500 0.5743
0.8329 0.2500 0.7813
0.8846 0.5006 0.3402
0.8846 0.9994 0.3402
0.8960 0.2500 0.0628
0.9691 0.0025 0.8261
0.9691 0.4975 0.8261
0.9811 0.7500 0.5419
```

The 10 most intense peaks (2θ = 15–90°), in order of rising 2θ:
| d [Å] | I (rel.) |
| --- | --- |
| 3.838 | 33 |
| 3.588 | 100 |
| 3.348 | 20 |
| 3.161 | 22 |
| 3.123 | 13 |
| 2.788 | 28 |
| 2.528 | 13 |
| 2.342 | 14 |
| 2.161 | 12 |
| 1.727 | 12 |

# 4
Theoretical powder XRD pattern of CsCrPO4 for CuKα, from a GGA+U-relaxed structure.
No peak broadening, texture or thermal motion is included.

Crystal structure
```
CsCrPO4
1.0
5.3941 0.0000 0.0000
0.0000 5.8145 0.0000
-2.4519 0.0000 7.4887
Cs Cr P O
2 2 2 8
Direct
0.1999 0.2500 0.4290
0.8001 0.7500 0.5710
0.2681 0.2500 0.9599
0.7319 0.7500 0.0401
0.2615 0.7500 0.1431
0.7385 0.2500 0.8569
0.0539 0.7500 0.9539
0.0946 0.7500 0.2741
0.4459 0.5372 0.1676
0.4459 0.9628 0.1676
0.5541 0.0372 0.8324
0.5541 0.4628 0.8324
0.9054 0.2500 0.7259
0.9461 0.2500 0.0461
```

The 10 most intense peaks (2θ = 15–90°), in order of rising 2θ:
| d [Å] | I (rel.) |
| --- | --- |
| 3.845 | 100 |
| 3.800 | 62 |
| 3.724 | 49 |
| 3.148 | 84 |
| 3.064 | 72 |
| 2.907 | 72 |
| 2.511 | 44 |
| 2.295 | 54 |
| 1.923 | 32 |
| 1.721 | 36 |